Starting from a GGA-PBE-relaxed structure, the X-ray diffraction stick pattern of RbPdBr3 was simulated for Cu Kα.
Peak positions follow from Bragg's law for the DFT cell and can differ from measured ones.

Principal peaks in the range 2θ from 5° to 70°, low angle first:
2θ 14.58, rel. 54; 2θ 15.42, rel. 28; 2θ 17.62, rel. 100; 2θ 22.33, rel. 27; 2θ 30.66, rel. 79; 2θ 35.68, rel. 38; 2θ 39.23, rel. 46; 2θ 52.08, rel. 34

Cell and atoms:
```
RbPdBr3
1.0
6.395 -5.607 0.000
6.395 5.607 0.000
-3.779 0.000 11.496
Rb Pd Br
4 4 12
Direct
0.052 0.717 0.857
0.283 0.948 0.643
0.717 0.052 0.357
0.948 0.283 0.143
0.177 0.823 0.250
0.499 0.501 0.750
0.501 0.499 0.250
0.823 0.177 0.750
0.089 0.140 0.878
0.140 0.089 0.378
0.230 0.553 0.126
0.233 0.537 0.623
0.447 0.770 0.374
0.463 0.767 0.877
0.537 0.233 0.123
0.553 0.230 0.626
0.767 0.463 0.377
0.770 0.447 0.874
0.860 0.911 0.622
0.911 0.860 0.122
```

***

Starting from a GGA-PBE-relaxed structure, the X-ray diffraction stick pattern of ThMg2Cd9 was simulated for Cu Kα.
Peak positions follow from Bragg's law for the DFT cell and can differ from measured ones.

Principal peaks in the range 2θ from 5° to 70°, low angle first:
2θ 25.31, rel. 18; 2θ 29.52, rel. 17; 2θ 33.26, rel. 100; 2θ 33.83, rel. 56; 2θ 35.57, rel. 19; 2θ 39.77, rel. 32; 2θ 50.72, rel. 18; 2θ 60.16, rel. 29

Cell and atoms:
```
ThMg2Cd9
1.0
-5.925 5.925 3.875
5.925 -5.925 3.875
5.925 5.925 -3.875
Th Mg Cd
2 4 18
Direct
0.375 0.625 0.750
0.625 0.375 0.250
0.000 0.000 0.000
0.000 0.000 0.500
0.000 0.500 0.000
0.500 0.000 0.500
0.124 0.552 0.332
0.124 0.792 0.572
0.125 0.875 0.250
0.208 0.280 0.332
0.208 0.876 0.928
0.280 0.208 0.832
0.280 0.448 0.072
0.448 0.280 0.572
0.448 0.876 0.168
0.552 0.124 0.832
0.552 0.720 0.428
0.720 0.552 0.928
0.720 0.792 0.168
0.792 0.124 0.072
0.792 0.720 0.668
0.875 0.125 0.750
0.876 0.208 0.428
0.876 0.448 0.668
```

***

Starting from a GGA-PBE-relaxed structure, the X-ray diffraction stick pattern of CsBaBeSe2 was simulated for Cu Kα.
Peak positions follow from Bragg's law for the DFT cell and can differ from measured ones.

Principal peaks in the range 2θ from 5° to 70°, low angle first:
2θ 23.78, rel. 100; 2θ 25.76, rel. 57; 2θ 28.10, rel. 48; 2θ 31.96, rel. 44; 2θ 33.81, rel. 27; 2θ 37.40, rel. 25; 2θ 38.80, rel. 25; 2θ 41.21, rel. 29

Cell and atoms:
```
CsBaBeSe2
1.0
8.408 0.000 0.000
0.000 5.028 0.000
-1.992 0.000 9.286
Cs Ba Be Se
2 2 2 4
Direct
0.000 0.244 0.250
0.000 0.756 0.750
0.500 0.481 0.750
0.500 0.519 0.250
0.500 0.000 0.000
0.500 0.000 0.500
0.286 0.217 0.967
0.286 0.783 0.467
0.714 0.217 0.533
0.714 0.783 0.033
```

***

Starting from a GGA-PBE-relaxed structure, the X-ray diffraction stick pattern of Ag2PtSe was simulated for Cu Kα.
Peak positions follow from Bragg's law for the DFT cell and can differ from measured ones.

Principal peaks in the range 2θ from 5° to 70°, low angle first:
2θ 17.34, rel. 27; 2θ 19.54, rel. 25; 2θ 35.10, rel. 22; 2θ 35.63, rel. 29; 2θ 36.68, rel. 100; 2θ 38.58, rel. 32; 2θ 39.07, rel. 37; 2θ 40.25, rel. 62

Cell and atoms:
```
Ag2PtSe
1.0
5.288 -1.601 0.000
5.288 1.601 0.000
-1.199 0.000 4.542
Ag Pt Se
2 1 1
Direct
0.000 0.000 0.000
0.169 0.169 0.617
0.733 0.733 0.132
0.395 0.395 0.408
```

***

Starting from a GGA-PBE-relaxed structure, the X-ray diffraction stick pattern of Tb7Tl4H was simulated for Cu Kα.
Peak positions follow from Bragg's law for the DFT cell and can differ from measured ones.

Principal peaks in the range 2θ from 5° to 70°, low angle first:
2θ 18.70, rel. 22; 2θ 34.02, rel. 100; 2θ 34.14, rel. 99; 2θ 34.81, rel. 46; 2θ 34.99, rel. 51; 2θ 50.18, rel. 33; 2θ 60.54, rel. 28; 2θ 62.09, rel. 34

Cell and atoms:
```
Tb7Tl4H
1.0
8.059 -2.565 0.000
8.059 2.565 0.000
-6.959 0.000 8.532
Tb Tl H
7 4 1
Direct
0.000 0.000 0.000
0.139 0.139 0.564
0.286 0.286 0.143
0.436 0.436 0.740
0.564 0.564 0.260
0.714 0.714 0.857
0.861 0.861 0.436
0.078 0.078 0.790
0.220 0.220 0.354
0.780 0.780 0.646
0.922 0.922 0.210
0.500 0.500 0.000
```

***

Starting from a GGA-PBE-relaxed structure, the X-ray diffraction stick pattern of Ho2ErScSe6 was simulated for Cu Kα.
Peak positions follow from Bragg's law for the DFT cell and can differ from measured ones.

Principal peaks in the range 2θ from 5° to 70°, low angle first:
2θ 17.20, rel. 46; 2θ 23.61, rel. 50; 2θ 25.21, rel. 28; 2θ 28.89, rel. 77; 2θ 34.80, rel. 33; 2θ 38.01, rel. 100; 2θ 43.46, rel. 29; 2θ 44.41, rel. 63

Cell and atoms:
```
Ho2ErScSe6
1.0
3.533 2.040 6.379
-3.533 2.040 6.379
0.000 -4.080 6.379
Ho Er Sc Se
2 1 1 6
Direct
0.000 0.000 0.000
0.498 0.498 0.498
0.194 0.194 0.194
0.692 0.692 0.692
0.079 0.419 0.795
0.302 0.905 0.592
0.419 0.795 0.079
0.592 0.302 0.905
0.795 0.079 0.419
0.905 0.592 0.302
```

***

Starting from a GGA-PBE-relaxed structure, the X-ray diffraction stick pattern of Re2I4Cl5 was simulated for Cu Kα.
Peak positions follow from Bragg's law for the DFT cell and can differ from measured ones.

Principal peaks in the range 2θ from 5° to 70°, low angle first:
2θ 12.42, rel. 15; 2θ 13.49, rel. 100; 2θ 16.15, rel. 30; 2θ 22.82, rel. 43; 2θ 25.61, rel. 15; 2θ 32.05, rel. 23; 2θ 35.33, rel. 16; 2θ 37.24, rel. 17

Cell and atoms:
```
Re2I4Cl5
1.0
7.288 0.000 0.000
-2.838 6.745 0.000
-1.041 -1.649 7.129
Re I Cl
2 4 5
Direct
0.000 0.000 0.000
0.103 0.885 0.657
0.217 0.776 0.961
0.306 0.676 0.498
0.813 0.226 0.160
0.892 0.115 0.699
0.306 0.279 0.122
0.393 0.180 0.701
0.696 0.713 0.928
0.806 0.589 0.563
0.991 0.885 0.313
```

***

Starting from a GGA-PBE-relaxed structure, the X-ray diffraction stick pattern of Y3Cr2 was simulated for Cu Kα.
Peak positions follow from Bragg's law for the DFT cell and can differ from measured ones.

Principal peaks in the range 2θ from 5° to 70°, low angle first:
2θ 25.11, rel. 50; 2θ 35.72, rel. 100; 2θ 35.88, rel. 96; 2θ 44.30, rel. 11; 2θ 51.53, rel. 33; 2θ 64.07, rel. 15; 2θ 64.39, rel. 33; 2θ 64.49, rel. 16

Cell and atoms:
```
Y3Cr2
1.0
5.005 0.000 0.000
-2.503 4.335 0.000
0.000 0.000 6.170
Y Cr
3 2
Direct
0.000 0.000 0.000
0.333 0.667 0.340
0.667 0.333 0.660
0.333 0.667 0.856
0.667 0.333 0.144
```